[1]
Rb3MoF6: theoretical powder X-ray diffraction pattern (Cu Kα X-rays), based on a cell relaxed with GGA+U.
No peak broadening, texture or thermal motion is included.

Principal peaks in the range 2θ = 5–70°, most intense first:
| two_theta | I (rel.) |
| --- | --- |
| 26.7 | 100 |
| 38.1 | 39 |
| 47.1 | 39 |
| 54.9 | 24 |
| 62.1 | 20 |
| 68.8 | 8 |
| 32.8 | 4 |
| 18.8 | 4 |

Atomic structure:
```
10
Lattice="0.000 4.726 4.726 4.726 0.000 4.726 4.726 4.726 0.000" Properties=species:S:1:pos:R:3 pbc="T T T"
Rb 0.000 0.000 0.000
Rb 2.363 2.363 2.363
Rb 7.090 7.090 7.090
Mo 4.726 4.726 4.726
F 4.726 4.726 2.650
F 4.726 2.650 4.726
F 6.803 4.726 4.726
F 2.650 4.726 4.726
F 4.726 6.803 4.726
F 4.726 4.726 6.803
```

---

[2]
ZnMoF6: theoretical powder X-ray diffraction pattern (Cu Kα X-rays), based on a cell relaxed with GGA+U.
No peak broadening, texture or thermal motion is included.

Principal peaks in the range 2θ = 5–70°, most intense first:
| two_theta | I (rel.) |
| --- | --- |
| 22.6 | 100 |
| 51.1 | 25 |
| 31.5 | 22 |
| 46.2 | 21 |
| 53.0 | 15 |
| 32.9 | 14 |
| 57.9 | 9 |
| 38.1 | 9 |

Atomic structure:
```
8
Lattice="2.720 1.570 4.743 -2.720 1.570 4.743 0.000 -3.141 4.743" Properties=species:S:1:pos:R:3 pbc="T T T"
Zn 0.000 0.000 0.000
Mo 0.000 0.000 7.115
F -1.579 0.342 5.930
F -1.085 -1.197 8.300
F 0.494 -1.538 5.930
F -0.494 1.538 8.300
F 1.085 1.197 5.930
F 1.579 -0.342 8.300
```

---

[3]
NiNF3: theoretical powder X-ray diffraction pattern (Cu Kα X-rays), based on a cell relaxed with GGA+U.
No peak broadening, texture or thermal motion is included.

Principal peaks in the range 2θ = 5–70°, most intense first:
| two_theta | I (rel.) |
| --- | --- |
| 22.6 | 100 |
| 32.2 | 56 |
| 46.2 | 50 |
| 52.1 | 40 |
| 67.4 | 26 |
| 57.5 | 19 |

Atomic structure:
```
5
Lattice="3.929 0.000 0.000 0.000 3.929 0.000 0.000 0.000 3.929" Properties=species:S:1:pos:R:3 pbc="T T T"
Ni 0.000 0.000 0.000
N 1.964 1.964 1.964
F 0.000 0.000 1.964
F 0.000 1.964 0.000
F 1.964 0.000 0.000
```

---

[4]
NiNF3: theoretical powder X-ray diffraction pattern (Cu Kα X-rays), based on a cell relaxed with GGA+U.
No peak broadening, texture or thermal motion is included.

Principal peaks in the range 2θ = 5–70°, most intense first:
| two_theta | I (rel.) |
| --- | --- |
| 19.7 | 100 |
| 22.5 | 72 |
| 45.9 | 43 |
| 32.6 | 42 |
| 31.4 | 34 |
| 50.9 | 30 |
| 49.9 | 22 |
| 68.2 | 18 |

Atomic structure:
```
30
Lattice="5.497 0.000 0.000 -2.749 4.761 0.000 0.000 0.000 14.229" Properties=species:S:1:pos:R:3 pbc="T T T"
Ni 0.000 0.000 0.000
Ni 0.000 0.000 7.115
Ni 0.000 3.174 2.212
Ni 0.000 3.174 4.902
Ni 2.749 1.587 9.327
Ni 2.749 1.587 12.017
N 0.000 0.000 3.557
N 0.000 0.000 10.672
N 0.000 3.174 8.502
N 0.000 3.174 12.842
N 2.749 1.587 1.388
N 2.749 1.587 5.727
F -1.258 2.448 3.557
F 0.000 1.572 1.125
F 0.000 1.572 5.989
F -1.387 3.975 1.125
F -1.387 3.975 5.989
F 1.361 0.786 8.240
F 1.361 0.786 13.104
F 1.258 2.448 3.557
F 0.000 4.626 3.557
F 2.749 0.135 10.672
F 1.491 2.313 10.672
F 1.387 3.975 1.125
F 1.387 3.975 5.989
F 4.136 0.786 8.240
F 4.136 0.786 13.104
F 2.749 3.189 8.240
F 2.749 3.189 13.104
F 4.006 2.313 10.672
```

---

[5]
NiN2F4: theoretical powder X-ray diffraction pattern (Cu Kα X-rays), based on a cell relaxed with GGA+U.
No peak broadening, texture or thermal motion is included.

Principal peaks in the range 2θ = 5–70°, most intense first:
| two_theta | I (rel.) |
| --- | --- |
| 12.8 | 100 |
| 24.3 | 71 |
| 30.5 | 24 |
| 48.0 | 23 |
| 33.4 | 22 |
| 39.0 | 16 |
| 54.5 | 14 |
| 63.5 | 12 |

Atomic structure:
```
7
Lattice="-1.896 1.896 6.933 1.896 -1.896 6.933 1.896 1.896 -6.933" Properties=species:S:1:pos:R:3 pbc="T T T"
Ni 0.000 0.000 0.000
N 0.000 0.000 4.623
N 0.000 0.000 9.244
F 1.896 0.000 0.000
F 0.000 0.000 1.832
F 0.000 1.896 0.000
F 0.000 0.000 12.035
```